This entry pairs a crystal structure of CeBe17Co with its calculated powder diffraction line list. Radiation: Cu Kα X-rays. Structure: a structure optimized by DFT (PBE).
Kinematic intensities with the Lorentz-polarization factor, no thermal factor.

Structure:
```
CeBe17Co
1.0
3.7787 2.1817 3.6485
-3.7787 2.1817 3.6485
0.0000 -4.3633 3.6485
Ce Be Co
1 17 1
direct
0.0000 0.0000 0.0000
0.0504 0.3574 0.6345
0.0504 0.6345 0.3574
0.2243 0.6835 0.6835
0.2516 0.2516 0.2516
0.3401 0.3401 0.8526
0.3401 0.8526 0.3401
0.3574 0.0504 0.6345
0.3574 0.6345 0.0504
0.4451 0.4451 0.4451
0.5042 0.9991 0.9991
0.6345 0.0504 0.3574
0.6345 0.3574 0.0504
0.6835 0.2243 0.6835
0.6835 0.6835 0.2243
0.8526 0.3401 0.3401
0.9991 0.5042 0.9991
0.9991 0.9991 0.5042
0.6549 0.6549 0.6549
```

Most intense lines, 5° ≤ 2θ ≤ 70°, sorted by position:
- 2θ = 15.78°, intensity 76
- 2θ = 21.16°, intensity 64
- 2θ = 23.54°, intensity 100
- 2θ = 24.40°, intensity 32
- 2θ = 28.47°, intensity 26
- 2θ = 31.86°, intensity 25
- 2θ = 34.16°, intensity 97
- 2θ = 37.27°, intensity 26
- 2θ = 40.00°, intensity 27
- 2θ = 41.39°, intensity 36
- 2θ = 48.16°, intensity 29
- 2θ = 48.63°, intensity 52